(1)
Computed powder XRD pattern of BaUTiO6 for a wavelength of 1.5418 Å, from a DFT-relaxed cell (GGA-PBE, Alexandria).

Main lines, by angle (2θ from 10° to 90°):
2theta  Rel. int.
13.67  49
24.77  100
27.53  47
28.77  42
29.13  45
47.08  36

Lattice parameters (Å, degrees): 6.626 8.641 10.321 90.00 102.06 90.00
Sites, in units of the cell vectors:
Ba1 0.031 0.227 0.335
Ba2 0.031 0.273 0.835
Ba3 0.969 0.727 0.165
Ba4 0.969 0.773 0.665
U1 0.478 0.017 0.178
U2 0.478 0.483 0.678
U3 0.522 0.517 0.322
U4 0.522 0.983 0.822
Ti1 0.385 0.651 0.951
Ti2 0.385 0.849 0.451
Ti3 0.615 0.151 0.549
Ti4 0.615 0.349 0.049
O1 0.124 0.658 0.949
O2 0.124 0.842 0.449
O3 0.191 0.044 0.132
O4 0.191 0.456 0.632
O5 0.235 0.014 0.767
O6 0.235 0.486 0.267
O7 0.417 0.715 0.777
O8 0.417 0.785 0.277
O9 0.432 0.062 0.388
O10 0.432 0.438 0.888
O11 0.500 0.149 0.989
O12 0.500 0.351 0.489
O13 0.500 0.649 0.511
O14 0.500 0.851 0.011
O15 0.568 0.562 0.112
O16 0.568 0.938 0.612
O17 0.583 0.215 0.723
O18 0.583 0.285 0.223
O19 0.765 0.514 0.733
O20 0.765 0.986 0.233
O21 0.809 0.544 0.368
O22 0.809 0.956 0.868
O23 0.876 0.158 0.551
O24 0.876 0.342 0.051


(2)
Computed powder XRD pattern of CsCo2PdBr8 for a wavelength of 1.5418 Å, from a DFT-relaxed cell (GGA-PBE, Alexandria).

Main lines, by angle (2θ from 10° to 90°):
2theta  Rel. int.
19.22  82
26.10  42
28.13  100
32.02  93
44.61  50
47.19  58

Lattice parameters (Å, degrees): 10.942 10.942 10.942 35.50 35.50 35.50
Sites, in units of the cell vectors:
Cs1 0.000 0.000 0.000
Co1 0.239 0.239 0.239
Co2 0.761 0.761 0.761
Pd1 0.500 0.500 0.500
Br1 0.129 0.765 0.454
Br2 0.235 0.546 0.871
Br3 0.315 0.315 0.315
Br4 0.454 0.129 0.765
Br5 0.546 0.871 0.235
Br6 0.685 0.685 0.685
Br7 0.765 0.454 0.129
Br8 0.871 0.235 0.546


(3)
Computed powder XRD pattern of Na8VSe6 for a wavelength of 1.5418 Å, from a DFT-relaxed cell (GGA-PBE, Alexandria).

Main lines, by angle (2θ from 10° to 90°):
2theta  Rel. int.
24.65  66
25.03  100
25.78  72
26.29  88
39.14  63
43.24  87

Lattice parameters (Å, degrees): 8.293 8.536 11.775 90.00 90.00 90.00
Sites, in units of the cell vectors:
Na1 0.000 0.135 0.000
Na2 0.000 0.234 0.455
Na3 0.180 0.620 0.117
Na4 0.196 0.581 0.811
Na5 0.238 0.945 0.762
Na6 0.262 0.055 0.262
Na7 0.304 0.419 0.311
Na8 0.320 0.380 0.617
Na9 0.500 0.766 0.955
Na10 0.500 0.865 0.500
Na11 0.680 0.380 0.617
Na12 0.696 0.419 0.311
Na13 0.738 0.055 0.262
Na14 0.762 0.945 0.762
Na15 0.804 0.581 0.811
Na16 0.820 0.620 0.117
V1 0.000 0.738 0.467
V2 0.500 0.262 0.967
Se1 0.000 0.293 0.219
Se2 0.000 0.514 0.592
Se3 0.000 0.787 0.945
Se4 0.000 0.960 0.583
Se5 0.233 0.742 0.352
Se6 0.267 0.258 0.852
Se7 0.500 0.040 0.083
Se8 0.500 0.213 0.445
Se9 0.500 0.486 0.092
Se10 0.500 0.707 0.719
Se11 0.733 0.258 0.852
Se12 0.767 0.742 0.352


(4)
Computed powder XRD pattern of SrCeTe2O8 for a wavelength of 1.5418 Å, from a DFT-relaxed cell (GGA-PBE, Alexandria).

Main lines, by angle (2θ from 10° to 90°):
2theta  Rel. int.
20.61  100
28.76  79
29.86  60
41.93  36
46.43  24
51.64  30

Lattice parameters (Å, degrees): 6.209 6.209 7.204 90.00 90.00 120.00
Sites, in units of the cell vectors:
Sr1 0.000 0.000 0.000
Ce1 0.000 0.000 0.500
Te1 0.333 0.667 0.774
Te2 0.667 0.333 0.226
O1 0.155 0.311 0.712
O2 0.155 0.845 0.712
O3 0.311 0.155 0.288
O4 0.333 0.667 0.029
O5 0.667 0.333 0.971
O6 0.689 0.845 0.712
O7 0.845 0.155 0.288
O8 0.845 0.689 0.288